No. 1
This entry pairs a crystal structure of Sr2Cd2Au3 with its theoretical powder diffractogram. Radiation: Cu Kα (weighted mean of Kα1 and Kα2). Structure: a crystal structure in Alexandria, relaxed with PBE.
Neutral-atom scattering factors, no anomalous dispersion.

Atomic structure:
```
Sr2Cd2Au3
1.0
2.191 -10.270 0.000
2.191 10.270 0.000
0.000 0.000 8.205
Sr Cd Au
4 4 6
Cartesian
2.191 9.093 6.154
2.191 7.168 2.051
2.191 -7.168 6.154
2.191 -9.093 2.051
2.191 3.903 0.440
2.191 3.903 3.663
2.191 -3.903 4.542
2.191 -3.903 7.765
2.191 5.540 6.154
2.191 1.243 4.692
2.191 1.243 7.616
2.191 -1.243 0.589
2.191 -1.243 3.513
2.191 -5.540 2.051
```

Main lines, most intense first (10° ≤ 2θ ≤ 90°):
2θ/deg  I_rel
31.79  100
30.15  86
41.07  59
37.23  56
41.19  45
20.72  44
23.38  32
43.16  32

***

No. 2
This entry pairs a crystal structure of Nd9Ho2Er with its theoretical powder diffractogram. Radiation: Cu Kα (weighted mean of Kα1 and Kα2). Structure: a crystal structure in Alexandria, relaxed with PBE.
Neutral-atom scattering factors, no anomalous dispersion.

Atomic structure:
```
Nd9Ho2Er
1.0
5.147 0.000 0.000
0.000 5.147 0.000
0.000 0.000 15.441
Nd Ho Er
9 2 1
Cartesian
0.000 0.000 0.000
0.000 0.000 5.144
0.000 0.000 10.298
0.000 2.573 2.570
0.000 2.573 7.721
0.000 2.573 12.871
2.573 0.000 2.570
2.573 0.000 7.721
2.573 0.000 12.871
2.573 2.573 5.143
2.573 2.573 10.298
2.573 2.573 0.000
```

Main lines, most intense first (10° ≤ 2θ ≤ 90°):
2θ/deg  I_rel
30.07  100
34.86  51
59.58  43
50.13  36
81.52  18
84.11  16
62.51  12
73.62  6

***

No. 3
This entry pairs a crystal structure of Ag2PtPbCl8 with its theoretical powder diffractogram. Radiation: Cu Kα (weighted mean of Kα1 and Kα2). Structure: a crystal structure in Alexandria, relaxed with PBE.
Neutral-atom scattering factors, no anomalous dispersion.

Atomic structure:
```
Ag2PtPbCl8
1.0
6.556 0.000 0.000
1.132 6.704 0.000
0.310 2.641 7.860
Ag Pt Pb Cl
2 1 1 8
Cartesian
0.344 1.986 2.234
7.653 7.359 5.625
3.844 3.352 0.000
3.999 4.673 3.930
1.701 6.282 3.380
2.352 7.516 7.784
2.898 4.397 6.672
3.011 2.488 2.041
4.986 6.857 5.819
5.100 4.949 1.188
5.646 1.830 0.075
6.297 3.063 4.479
```

Main lines, most intense first (10° ≤ 2θ ≤ 90°):
2θ/deg  I_rel
17.91  100
13.94  74
21.15  62
26.34  46
27.60  43
33.38  32
14.88  32
30.31  31

***

No. 4
This entry pairs a crystal structure of Ag2SbAsS4 with its theoretical powder diffractogram. Radiation: Cu Kα (weighted mean of Kα1 and Kα2). Structure: a crystal structure in Alexandria, relaxed with PBE.
Neutral-atom scattering factors, no anomalous dispersion.

Atomic structure:
```
Ag2SbAsS4
1.0
-3.821 3.923 5.448
3.821 -3.923 5.448
3.821 3.923 -5.448
Ag Sb As S
4 2 2 8
Cartesian
0.000 0.000 0.000
-1.911 1.961 2.724
0.000 3.923 0.000
1.911 1.961 2.724
3.821 0.000 0.000
0.000 0.000 5.448
1.911 1.961 -2.724
1.911 -1.961 2.724
3.821 3.795 -2.743
3.821 -0.128 2.743
1.895 1.961 -0.072
1.927 -1.961 5.377
1.895 5.884 0.072
1.927 1.961 5.520
0.000 4.051 2.705
0.000 0.128 8.191
```

Main lines, most intense first (10° ≤ 2θ ≤ 90°):
2θ/deg  I_rel
32.72  100
47.06  68
32.88  49
28.03  41
28.53  38
56.12  18
46.29  18
57.93  18

***

No. 5
This entry pairs a crystal structure of CaPr4S4 with its theoretical powder diffractogram. Radiation: Cu Kα (weighted mean of Kα1 and Kα2). Structure: a crystal structure in Alexandria, relaxed with PBE.
Neutral-atom scattering factors, no anomalous dispersion.

Atomic structure:
```
CaPr4S4
1.0
6.780 -2.029 0.000
6.780 2.029 0.000
-4.977 0.000 8.638
Ca Pr S
1 4 4
Cartesian
0.000 0.000 0.000
-1.262 0.000 6.874
2.397 0.000 5.189
6.185 0.000 3.449
9.844 0.000 1.764
1.196 0.000 2.558
4.965 0.000 0.824
3.617 0.000 7.814
7.387 0.000 6.080
```

Main lines, most intense first (10° ≤ 2θ ≤ 90°):
2θ/deg  I_rel
31.04  100
26.92  60
26.78  59
44.59  54
31.23  49
44.67  35
52.84  24
44.29  19

***

No. 6
This entry pairs a crystal structure of CaCrN2 with its theoretical powder diffractogram. Radiation: Cu Kα (weighted mean of Kα1 and Kα2). Structure: a crystal structure in Alexandria, relaxed with PBE.
Neutral-atom scattering factors, no anomalous dispersion.

Atomic structure:
```
CaCrN2
1.0
2.872 -5.447 0.000
2.872 5.447 0.000
0.000 0.000 7.022
Ca Cr N
4 4 8
Cartesian
2.872 3.626 6.596
2.872 1.822 3.085
2.872 -1.822 3.937
2.872 -3.626 0.426
2.872 4.746 2.549
2.872 0.702 6.060
2.872 -0.702 0.962
2.872 -4.746 4.473
2.872 4.290 4.334
1.436 1.371 5.266
1.436 -1.371 1.755
2.872 1.158 0.823
2.872 -1.158 6.198
4.309 1.371 5.266
4.309 -1.371 1.755
2.872 -4.290 2.688
```

Main lines, most intense first (10° ≤ 2θ ≤ 90°):
2θ/deg  I_rel
31.14  100
31.82  91
30.96  62
42.52  55
21.59  52
35.34  43
38.97  32
47.81  31

***

No. 7
This entry pairs a crystal structure of AcCuPbO5 with its theoretical powder diffractogram. Radiation: Cu Kα (weighted mean of Kα1 and Kα2). Structure: a crystal structure in Alexandria, relaxed with PBE.
Neutral-atom scattering factors, no anomalous dispersion.

Atomic structure:
```
AcCuPbO5
1.0
3.461 -5.044 0.000
3.461 5.044 0.000
-2.567 0.000 6.987
Ac Cu Pb O
2 2 2 10
Cartesian
1.536 3.475 5.240
2.819 -3.475 1.747
2.819 3.232 1.747
1.536 -3.232 5.240
3.461 0.000 0.000
2.178 0.000 3.494
-1.278 0.554 6.531
1.706 2.047 2.718
0.006 -0.554 3.038
1.536 0.986 5.240
3.933 2.047 0.776
0.422 -2.047 6.212
2.819 -0.986 1.747
4.349 0.554 3.950
2.649 -2.047 4.269
5.633 -0.554 0.456
```

Main lines, most intense first (10° ≤ 2θ ≤ 90°):
2θ/deg  I_rel
29.92  100
25.99  90
27.45  77
31.14  51
56.66  41
34.24  33
50.09  31
41.76  28

***

No. 8
This entry pairs a crystal structure of AcMnTe3 with its theoretical powder diffractogram. Radiation: Cu Kα (weighted mean of Kα1 and Kα2). Structure: a crystal structure in Alexandria, relaxed with PBE.
Neutral-atom scattering factors, no anomalous dispersion.

Atomic structure:
```
AcMnTe3
1.0
8.969 0.000 0.000
0.000 4.394 0.000
0.000 0.000 15.256
Ac Mn Te
4 4 12
Cartesian
0.929 1.099 2.605
3.556 3.296 10.233
5.413 1.099 5.023
8.040 3.296 12.651
1.428 3.296 6.839
3.056 1.099 14.467
5.913 3.296 0.789
7.541 1.099 8.416
0.113 3.296 9.298
1.379 3.296 0.020
1.671 1.099 12.039
2.813 3.296 4.411
3.105 1.099 7.648
4.372 1.099 1.670
4.597 3.296 13.585
5.864 3.296 7.608
6.156 1.099 10.845
7.298 3.296 3.217
7.590 1.099 15.235
8.856 1.099 5.958
```

Main lines, most intense first (10° ≤ 2θ ≤ 90°):
2θ/deg  I_rel
30.80  100
28.63  66
30.96  38
29.05  37
41.08  31
35.83  22
40.60  19
38.26  19